Simulated X-ray diffraction stick pattern
Compound: Sm5Tl2Sn
Radiation: Cu Kα X-rays
Structure: a DFT-relaxed cell (GGA-PBE, Alexandria)
Intensities are scaled so that the largest is 1000.

Structural model:
abc: 8.594 8.594 13.205
angles: 90.00 90.00 90.00
Space group I4/mcm (No. 140)
Inequivalent atoms, fractional coordinates:
Sm  0.000  0.000  0.000 [4 per cell]
Sm  0.158  0.342  0.152 [16 per cell]
Tl  0.141  0.359  0.500 [8 per cell]
Sn  0.000  0.000  0.250 [4 per cell]

Peak list (12 most intense, 5° ≤ 2θ ≤ 70°, by intensity)
h k l, 2θ/deg, I_rel
2 1 3, 30.88, 1000
3 1 0, 32.96, 482
5 2 3, 61.83, 227
4 1 3, 48.31, 112
3 1 6, 53.58, 100
2 0 4, 34.25, 93
3 2 3, 43.14, 90
0 0 6, 41.01, 86
0 0 2, 13.41, 79
2 2 0, 29.39, 71
3 3 6, 62.29, 71
4 2 0, 47.30, 69